Calculated powder XRD pattern of PuHgPd for λ = 1.5418 Å (Cu Kα), from a DFT-relaxed cell (GGA-PBE, Alexandria).
Lines closer than 0.1° are merged.

Most intense lines, 15° ≤ 2θ ≤ 90°, by angle:
- d = 4.255 Å, intensity 14
- d = 2.516 Å, intensity 100
- d = 2.457 Å, intensity 88
- d = 1.758 Å, intensity 35
- d = 1.429 Å, intensity 36
- d = 1.418 Å, intensity 16
- d = 1.317 Å, intensity 25
- d = 1.104 Å, intensity 17

Atomic structure:
Cell lengths 4.913, 4.913, 3.120 Å; angles 90.00, 90.00, 120.00 degrees
Fractional coordinates of all 3 atoms:
Pu1 0.000 0.000 0.000
Hg1 0.333 0.667 0.500
Pd1 0.667 0.333 0.500

***

Calculated powder XRD pattern of Pu2HgPd2 for λ = 1.5418 Å (Cu Kα), from a DFT-relaxed cell (GGA-PBE, Alexandria).
Lines closer than 0.1° are merged.

Most intense lines, 15° ≤ 2θ ≤ 90°, by angle:
- d = 3.425 Å, intensity 14
- d = 2.728 Å, intensity 47
- d = 2.570 Å, intensity 100
- d = 2.422 Å, intensity 48
- d = 1.944 Å, intensity 17
- d = 1.676 Å, intensity 18
- d = 1.637 Å, intensity 15
- d = 1.516 Å, intensity 23

Atomic structure:
Cell lengths 7.657, 7.657, 3.887 Å; angles 90.00, 90.00, 90.00 degrees
Fractional coordinates of all 10 atoms:
Pu1 0.172 0.328 0.000
Pu2 0.328 0.828 0.000
Pu3 0.672 0.172 0.000
Pu4 0.828 0.672 0.000
Hg1 0.000 0.000 0.500
Hg2 0.500 0.500 0.500
Pd1 0.130 0.630 0.500
Pd2 0.370 0.130 0.500
Pd3 0.630 0.870 0.500
Pd4 0.870 0.370 0.500

***

Calculated powder XRD pattern of Pu2Hg2Pd3 for λ = 1.5418 Å (Cu Kα), from a DFT-relaxed cell (GGA-PBE, Alexandria).
Lines closer than 0.1° are merged.

Most intense lines, 15° ≤ 2θ ≤ 90°, by angle:
- d = 2.518 Å, intensity 100
- d = 2.469 Å, intensity 53
- d = 2.433 Å, intensity 48
- d = 2.347 Å, intensity 43
- d = 2.312 Å, intensity 45
- d = 1.890 Å, intensity 19
- d = 1.660 Å, intensity 15
- d = 1.370 Å, intensity 23

Atomic structure:
Cell lengths 4.918, 5.538, 5.651 Å; angles 97.78, 94.02, 108.26 degrees
Fractional coordinates of all 7 atoms:
Pu1 0.241 0.453 0.326
Pu2 0.759 0.547 0.674
Hg1 0.106 0.159 0.783
Hg2 0.894 0.841 0.217
Pd1 0.333 0.745 0.909
Pd2 0.500 0.000 0.500
Pd3 0.667 0.255 0.091

***

Calculated powder XRD pattern of Pu2Hg2Pd5 for λ = 1.5418 Å (Cu Kα), from a DFT-relaxed cell (GGA-PBE, Alexandria).
Lines closer than 0.1° are merged.

Most intense lines, 15° ≤ 2θ ≤ 90°, by angle:
- d = 3.499 Å, intensity 30
- d = 3.348 Å, intensity 21
- d = 2.432 Å, intensity 95
- d = 2.408 Å, intensity 100
- d = 2.128 Å, intensity 25
- d = 2.111 Å, intensity 31
- d = 2.050 Å, intensity 30
- d = 1.471 Å, intensity 20

Atomic structure:
Cell lengths 5.201, 5.201, 9.400 Å; angles 90.16, 90.16, 46.42 degrees
Fractional coordinates of all 9 atoms:
Pu1 0.192 0.192 0.108
Pu2 0.808 0.808 0.892
Hg1 0.333 0.333 0.418
Hg2 0.667 0.667 0.582
Pd1 0.100 0.100 0.792
Pd2 0.396 0.396 0.709
Pd3 0.500 0.500 0.000
Pd4 0.604 0.604 0.291
Pd5 0.900 0.900 0.208

***

Calculated powder XRD pattern of PuHgPd14 for λ = 1.5418 Å (Cu Kα), from a DFT-relaxed cell (GGA-PBE, Alexandria).
Lines closer than 0.1° are merged.

Most intense lines, 15° ≤ 2θ ≤ 90°, by angle:
- d = 2.323 Å, intensity 100
- d = 2.030 Å, intensity 33
- d = 1.977 Å, intensity 15
- d = 1.435 Å, intensity 11
- d = 1.416 Å, intensity 20
- d = 1.221 Å, intensity 25
- d = 1.198 Å, intensity 12
- d = 1.161 Å, intensity 11

Atomic structure:
Cell lengths 5.740, 5.740, 7.907 Å; angles 90.00, 90.00, 90.00 degrees
Fractional coordinates of all 16 atoms:
Pu1 0.000 0.000 0.000
Hg1 0.500 0.500 0.000
Pd1 0.000 0.000 0.500
Pd2 0.000 0.500 0.000
Pd3 0.000 0.500 0.500
Pd4 0.249 0.249 0.256
Pd5 0.249 0.249 0.744
Pd6 0.249 0.751 0.256
Pd7 0.249 0.751 0.744
Pd8 0.500 0.000 0.000
Pd9 0.500 0.000 0.500
Pd10 0.500 0.500 0.500
Pd11 0.751 0.249 0.256
Pd12 0.751 0.249 0.744
Pd13 0.751 0.751 0.256
Pd14 0.751 0.751 0.744

***

Calculated powder XRD pattern of Rb3Hg2Pd2 for λ = 1.5418 Å (Cu Kα), from a DFT-relaxed cell (GGA-PBE, Alexandria).
Lines closer than 0.1° are merged.

Most intense lines, 15° ≤ 2θ ≤ 90°, by angle:
- d = 5.173 Å, intensity 62
- d = 4.984 Å, intensity 39
- d = 3.419 Å, intensity 33
- d = 3.194 Å, intensity 43
- d = 3.078 Å, intensity 32
- d = 3.057 Å, intensity 31
- d = 2.879 Å, intensity 60
- d = 2.676 Å, intensity 100

Atomic structure:
Cell lengths 6.779, 9.542, 14.708 Å; angles 90.00, 90.00, 90.00 degrees
Fractional coordinates of all 28 atoms:
Rb1 0.130 0.118 0.098
Rb2 0.130 0.118 0.402
Rb3 0.130 0.382 0.598
Rb4 0.130 0.382 0.902
Rb5 0.331 0.718 0.750
Rb6 0.331 0.782 0.250
Rb7 0.669 0.218 0.750
Rb8 0.669 0.282 0.250
Rb9 0.870 0.618 0.098
Rb10 0.870 0.618 0.402
Rb11 0.870 0.882 0.598
Rb12 0.870 0.882 0.902
Hg1 0.224 0.066 0.750
Hg2 0.224 0.434 0.250
Hg3 0.411 0.750 0.000
Hg4 0.411 0.750 0.500
Hg5 0.589 0.250 0.000
Hg6 0.589 0.250 0.500
Hg7 0.776 0.566 0.750
Hg8 0.776 0.934 0.250
Pd1 0.387 0.018 0.579
Pd2 0.387 0.018 0.921
Pd3 0.387 0.482 0.079
Pd4 0.387 0.482 0.421
Pd5 0.613 0.518 0.579
Pd6 0.613 0.518 0.921
Pd7 0.613 0.982 0.079
Pd8 0.613 0.982 0.421

***

Calculated powder XRD pattern of Rb3Hg7Pd2 for λ = 1.5418 Å (Cu Kα), from a DFT-relaxed cell (GGA-PBE, Alexandria).
Lines closer than 0.1° are merged.

Most intense lines, 15° ≤ 2θ ≤ 90°, by angle:
- d = 3.116 Å, intensity 100
- d = 2.714 Å, intensity 30
- d = 2.706 Å, intensity 30
- d = 2.675 Å, intensity 26
- d = 1.916 Å, intensity 22
- d = 1.904 Å, intensity 38
- d = 1.634 Å, intensity 16
- d = 1.558 Å, intensity 20

Atomic structure:
Cell lengths 13.646, 13.646, 5.413 Å; angles 90.00, 90.00, 157.05 degrees
Fractional coordinates of all 12 atoms:
Rb1 0.000 0.000 0.000
Rb2 0.188 0.812 0.000
Rb3 0.812 0.188 0.000
Hg1 0.099 0.901 0.500
Hg2 0.291 0.709 0.500
Hg3 0.402 0.598 0.000
Hg4 0.500 0.500 0.500
Hg5 0.598 0.402 0.000
Hg6 0.709 0.291 0.500
Hg7 0.901 0.099 0.500
Pd1 0.397 0.603 0.500
Pd2 0.603 0.397 0.500